[1]
# CaY3P3O12
Theoretical powder XRD pattern, Cu Kα X-rays. Input: a cell relaxed with GGA-PBE.
Neutral-atom scattering factors, no anomalous dispersion.

Cell and atoms:
a b c (Å): 6.9390 6.9390 6.3285
angles (deg): 90.00 90.00 116.85
Atoms (fractional coordinates):
Ca 0.0000 0.0000 0.0000
Y 0.0000 0.5000 0.8164
Y 0.5000 0.0000 0.1836
Y 0.5000 0.5000 0.5000
P 0.0000 0.5000 0.3186
P 0.5000 0.0000 0.6814
P 0.5000 0.5000 0.0000
O 0.1218 0.6962 0.1695
O 0.1520 0.4579 0.4710
O 0.3038 0.8782 0.8305
O 0.3068 0.4443 0.8485
O 0.4443 0.3068 0.1515
O 0.4579 0.1520 0.5290
O 0.5421 0.8480 0.5290
O 0.5557 0.6932 0.1515
O 0.6932 0.5557 0.8485
O 0.6962 0.1218 0.8305
O 0.8480 0.5421 0.4710
O 0.8782 0.3038 0.1695

Peak list (8 most intense, 10° ≤ 2θ ≤ 80°, in order of rising 2θ)
2theta, I_rel
14.3, 55
15.0, 23
20.1, 48
28.8, 100
30.2, 41
31.8, 41
32.1, 48
49.1, 33

---

[2]
# CaZnPO4
Theoretical powder XRD pattern, Cu Kα X-rays. Input: a cell relaxed with GGA-PBE.
Neutral-atom scattering factors, no anomalous dispersion.

Cell and atoms:
a b c (Å): 6.2681 6.2681 6.2681
angles (deg): 125.61 109.98 94.36
Atoms (fractional coordinates):
Ca 0.0000 0.0000 0.0000
Ca 0.5000 0.0000 0.5000
Zn 0.5000 0.0000 0.0000
Zn 0.5000 0.5000 0.5000
P 0.1310 0.3810 0.7500
P 0.8690 0.6190 0.2500
O 0.1479 0.7182 0.4298
O 0.2116 0.2818 0.9298
O 0.2424 0.2689 0.5265
O 0.2424 0.7159 0.9735
O 0.7576 0.2841 0.0265
O 0.7576 0.7311 0.4735
O 0.7884 0.7182 0.0702
O 0.8521 0.2818 0.5702

Peak list (8 most intense, 10° ≤ 2θ ≤ 80°, in order of rising 2θ)
2theta, I_rel
16.1, 24
24.8, 25
31.2, 45
33.9, 32
35.3, 100
40.2, 45
50.8, 27
59.9, 48

---

[3]
# CaZn2P2O10
Theoretical powder XRD pattern, Cu Kα X-rays. Input: a cell relaxed with GGA-PBE.
Neutral-atom scattering factors, no anomalous dispersion.

Cell and atoms:
a b c (Å): 16.6467 7.5585 6.7800
angles (deg): 90.00 90.00 90.00
Atoms (fractional coordinates):
Ca 0.0000 0.1127 0.2500
Ca 0.0000 0.8873 0.7500
Ca 0.5000 0.3873 0.7500
Ca 0.5000 0.6127 0.2500
Zn 0.2136 0.4891 0.2163
Zn 0.2136 0.5109 0.7163
Zn 0.2864 0.0109 0.7163
Zn 0.2864 0.9891 0.2163
Zn 0.7136 0.0109 0.7837
Zn 0.7136 0.9891 0.2837
Zn 0.7864 0.4891 0.2837
Zn 0.7864 0.5109 0.7837
P 0.1493 0.1792 0.9610
P 0.1493 0.8208 0.4610
P 0.3507 0.3208 0.4610
P 0.3507 0.6792 0.9610
P 0.6493 0.3208 0.0390
P 0.6493 0.6792 0.5390
P 0.8507 0.1792 0.5390
P 0.8507 0.8208 0.0390
O 0.0229 0.4388 0.4792
O 0.0229 0.5612 0.9792
O 0.0737 0.0621 0.9549
O 0.0737 0.9379 0.4549
O 0.1435 0.2858 0.1577
O 0.1435 0.7142 0.6577
O 0.1547 0.2954 0.7763
O 0.1547 0.7046 0.2763
O 0.2272 0.0581 0.9688
O 0.2272 0.9419 0.4688
O 0.2728 0.4419 0.4688
O 0.2728 0.5581 0.9688
O 0.3453 0.2046 0.2763
O 0.3453 0.7954 0.7763
O 0.3565 0.2142 0.6577
O 0.3565 0.7858 0.1577
O 0.4263 0.4379 0.4549
O 0.4263 0.5621 0.9549
O 0.4771 0.0612 0.9792
O 0.4771 0.9388 0.4792
O 0.5229 0.0612 0.5208
O 0.5229 0.9388 0.0208
O 0.5737 0.4379 0.0451
O 0.5737 0.5621 0.5451
O 0.6435 0.2142 0.8423
O 0.6435 0.7858 0.3423
O 0.6547 0.2046 0.2237
O 0.6547 0.7954 0.7237
O 0.7272 0.4419 0.0312
O 0.7272 0.5581 0.5312
O 0.7728 0.0581 0.5312
O 0.7728 0.9419 0.0312
O 0.8453 0.2954 0.7237
O 0.8453 0.7046 0.2237
O 0.8565 0.2858 0.3423
O 0.8565 0.7142 0.8423
O 0.9263 0.0621 0.5451
O 0.9263 0.9379 0.0451
O 0.9771 0.4388 0.0208
O 0.9771 0.5612 0.5208

Peak list (8 most intense, 10° ≤ 2θ ≤ 80°, in order of rising 2θ)
2theta, I_rel
10.6, 100
19.8, 26
20.6, 71
29.3, 28
32.0, 62
33.2, 87
37.2, 27
48.3, 31